Theoretical X-ray powder pattern of Ca10Al6Si13N30 for Cu Kα, from the GGA-PBE geometry in Alexandria.
No peak broadening, texture or thermal motion is included.

Main lines, by angle (2θ = 15–90°):
(0 1 7), 31.26 deg, I = 35; (0 2 -1), 31.59 deg, I = 48; (0 1 -8), 31.93 deg, I = 41; (2 0 0), 35.49 deg, I = 100; (1 1 7), 36.06 deg, I = 71; (1 -2 1), 36.36 deg, I = 70; (1 1 -8), 36.65 deg, I = 66; (2 2 -1), 48.24 deg, I = 25; (0 3 6), 55.62 deg, I = 20; (0 0 15), 56.26 deg, I = 15; (3 -2 1), 64.29 deg, I = 24; (2 3 -9), 68.87 deg, I = 24

Structure:
```
data_Ca10Al6Si13N30
_space_group_name_H-M_alt 'P 1'
_space_group_IT_number 1
_cell_length_a 5.059
_cell_length_b 5.666
_cell_length_c 24.627
_cell_angle_alpha 95.22
_cell_angle_beta 90.15
_cell_angle_gamma 90.02
loop_
_space_group_symop_operation_xyz
'x,y,z'
loop_
_atom_site_label
_atom_site_type_symbol
_atom_site_fract_x
_atom_site_fract_y
_atom_site_fract_z
Ca1 Ca 0.000 0.000 0.000
Ca2 Ca 0.000 0.390 0.804
Ca3 Ca 0.016 0.574 0.215
Ca4 Ca 0.490 0.182 0.602
Ca5 Ca 0.496 0.773 0.804
Ca6 Ca 0.498 0.365 0.011
Ca7 Ca 0.504 0.601 0.396
Ca8 Ca 0.537 0.996 0.217
Ca9 Ca 0.995 0.268 0.372
Ca10 Ca 0.996 0.818 0.601
Al1 Al 0.467 0.276 0.877
Al2 Al 0.467 0.682 0.671
Al3 Al 0.470 0.211 0.734
Al4 Al 0.472 0.106 0.471
Al5 Al 0.475 0.879 0.076
Al6 Al 0.968 0.953 0.874
Si1 Si 0.022 0.747 0.335
Si2 Si 0.473 0.629 0.532
Si3 Si 0.475 0.798 0.936
Si4 Si 0.484 0.403 0.139
Si5 Si 0.501 0.498 0.279
Si6 Si 0.507 0.046 0.334
Si7 Si 0.959 0.370 0.671
Si8 Si 0.960 0.892 0.732
Si9 Si 0.966 0.795 0.472
Si10 Si 0.967 0.317 0.532
Si11 Si 0.971 0.488 0.938
Si12 Si 0.973 0.563 0.077
Si13 Si 0.981 0.072 0.135
N1 N 0.006 0.439 0.008
N2 N 0.008 0.693 0.406
N3 N 0.012 0.272 0.602
N4 N 0.015 0.847 0.800
N5 N 0.039 0.985 0.196
N6 N 0.100 0.655 0.688
N7 N 0.102 0.852 0.083
N8 N 0.103 0.164 0.713
N9 N 0.103 0.256 0.896
N10 N 0.110 0.075 0.494
N11 N 0.124 0.588 0.515
N12 N 0.132 0.746 0.921
N13 N 0.139 0.363 0.118
N14 N 0.188 0.508 0.305
N15 N 0.191 0.984 0.320
N16 N 0.493 0.754 0.599
N17 N 0.498 0.346 0.805
N18 N 0.512 0.512 0.207
N19 N 0.514 0.930 0.002
N20 N 0.545 0.161 0.402
N21 N 0.606 0.976 0.889
N22 N 0.623 0.394 0.683
N23 N 0.624 0.911 0.719
N24 N 0.625 0.349 0.521
N25 N 0.627 0.814 0.489
N26 N 0.629 0.516 0.926
N27 N 0.633 0.591 0.094
N28 N 0.636 0.127 0.120
N29 N 0.653 0.252 0.298
N30 N 0.683 0.759 0.312
```